# Li2NiP2O7
Theoretical powder X-ray diffraction pattern, Cu Ka. Input: a GGA+U-relaxed structure.
Kinematic intensities with the Lorentz-polarization factor, no thermal factor.

The 6 most intense peaks (10 to 80 degrees two-theta), most intense first:
2theta  I (rel.)  (hkl)
17.24  100  0 2 1
22.03  35  0 0 2
24.37  33  1 2 0
31.95  28  1 2 -3
30.83  28  1 2 1
25.07  23  1 2 -2

Crystal structure
```
Li2NiP2O7
1.0
5.049 0.000 0.000
0.000 13.347 0.000
-4.696 0.000 8.070
Li Ni P O
8 4 8 28
Cartesian
-1.538 1.442 2.960
-3.886 5.231 6.995
1.363 2.658 1.330
-0.985 4.015 5.365
1.338 9.332 2.705
-1.010 10.688 6.740
4.239 8.115 1.075
1.891 11.905 5.110
-3.303 2.176 5.978
-0.955 4.498 1.943
1.308 8.849 6.128
3.656 11.171 2.092
-1.162 9.066 4.303
1.186 10.954 0.268
-1.246 7.062 6.255
1.102 12.958 2.220
-0.749 0.389 5.850
1.599 6.284 1.815
-0.833 2.392 7.802
1.515 4.281 3.767
-0.664 2.571 1.168
-3.012 4.102 5.203
-2.089 9.758 5.317
0.259 10.262 1.282
-2.746 7.144 6.618
-0.398 12.876 2.583
-1.593 1.446 5.087
0.755 5.227 1.052
-1.192 7.496 4.652
1.156 12.524 0.617
1.003 7.666 1.776
-1.345 12.354 5.811
-2.302 2.831 7.670
0.046 3.842 3.635
0.307 9.504 4.435
2.655 10.516 0.400
1.698 0.993 2.259
-0.650 5.681 6.294
-0.803 0.823 7.453
1.545 5.850 3.418
-0.402 8.119 7.018
1.946 11.901 2.983
0.751 0.471 5.487
3.099 6.202 1.452
0.094 3.084 6.788
2.442 3.589 2.753
3.365 9.245 2.867
1.017 10.775 6.902
```